Record 1
Starting from DFT lattice parameters and positions (PBE), the powder diffraction line list of Y5Ir2 was computed for Cu Kα.
Neutral-atom scattering factors, no anomalous dispersion.

Structural model:
Cell: 8.5423 8.5423 7.2313 Å, 96.23 96.23 45.08°
Fractional coordinates of all 14 atoms:
Y 0.0728 0.9272 0.7500
Y 0.1539 0.2887 0.3189
Y 0.2884 0.5299 0.0815
Y 0.2887 0.1539 0.8189
Y 0.4701 0.7116 0.4185
Y 0.5299 0.2884 0.5815
Y 0.7113 0.8461 0.1811
Y 0.7116 0.4701 0.9185
Y 0.8461 0.7113 0.6811
Y 0.9272 0.0728 0.2500
Ir 0.1091 0.6722 0.4268
Ir 0.3278 0.8909 0.0732
Ir 0.6722 0.1091 0.9268
Ir 0.8909 0.3278 0.5732

The 6 most intense peaks (5 to 70 degrees two-theta), by angle:
| 2θ (°) | Rel. int. |
| --- | --- |
| 19.62 | 100 |
| 24.06 | 40 |
| 31.63 | 66 |
| 35.33 | 42 |
| 35.74 | 50 |
| 39.87 | 51 |

---

Record 2
Starting from DFT lattice parameters and positions (PBE), the powder diffraction line list of Ba4Ca8Cu11CO20 was computed for Cu Kα.
Neutral-atom scattering factors, no anomalous dispersion.

Structural model:
Cell: 21.1355 21.1355 21.1355 Å, 164.89 164.89 21.43°
Fractional coordinates of all 44 atoms:
Ba 0.0536 0.5536 0.5000
Ba 0.4464 0.9464 0.5000
Ba 0.5536 0.0536 0.5000
Ba 0.9464 0.4464 0.5000
Ca 0.1369 0.6369 0.5000
Ca 0.2124 0.7124 0.5000
Ca 0.2876 0.7876 0.5000
Ca 0.3631 0.8631 0.5000
Ca 0.6369 0.1369 0.5000
Ca 0.7124 0.2124 0.5000
Ca 0.7876 0.2876 0.5000
Ca 0.8631 0.3631 0.5000
Cu 0.0000 0.0000 0.0000
Cu 0.0992 0.0992 0.0000
Cu 0.1743 0.1743 0.0000
Cu 0.2500 0.2500 0.0000
Cu 0.3258 0.3258 0.0000
Cu 0.4008 0.4008 0.0000
Cu 0.5992 0.5992 0.0000
Cu 0.6742 0.6742 0.0000
Cu 0.7500 0.7500 0.0000
Cu 0.8257 0.8257 0.0000
Cu 0.9008 0.9008 0.0000
C 0.5000 0.5000 0.0000
O 0.0000 0.0000 0.5000
O 0.0000 0.5000 0.0000
O 0.0761 0.0761 0.4994
O 0.0761 0.5767 0.0000
O 0.1533 0.1533 0.4996
O 0.1533 0.6537 0.0000
O 0.3463 0.3463 0.4996
O 0.3463 0.8467 0.0000
O 0.4233 0.4233 0.4994
O 0.4233 0.9239 0.0000
O 0.5000 0.0000 0.0000
O 0.5000 0.5000 0.5000
O 0.5767 0.0761 0.0000
O 0.5767 0.5767 0.5006
O 0.6537 0.1533 0.0000
O 0.6537 0.6537 0.5004
O 0.8467 0.3463 0.0000
O 0.8467 0.8467 0.5004
O 0.9239 0.4233 0.0000
O 0.9239 0.9239 0.5006

The 6 most intense peaks (5 to 70 degrees two-theta), by angle:
| 2θ (°) | Rel. int. |
| --- | --- |
| 31.34 | 49 |
| 32.22 | 76 |
| 34.54 | 100 |
| 38.01 | 41 |
| 46.21 | 60 |
| 58.95 | 40 |

---

Record 3
Starting from DFT lattice parameters and positions (PBE), the powder diffraction line list of PmIn3 was computed for Cu Kα.
Neutral-atom scattering factors, no anomalous dispersion.

Structural model:
Cell: 4.7054 4.7054 4.7054 Å, 90.00 90.00 90.00°
Fractional coordinates of all 4 atoms:
Pm 0.0000 0.0000 0.0000
In 0.0000 0.5000 0.5000
In 0.5000 0.0000 0.5000
In 0.5000 0.5000 0.0000

The 6 most intense peaks (5 to 70 degrees two-theta), by angle:
| 2θ (°) | Rel. int. |
| --- | --- |
| 18.86 | 1 |
| 32.97 | 100 |
| 38.26 | 50 |
| 55.21 | 34 |
| 65.83 | 39 |
| 69.16 | 11 |

---

Record 4
Starting from DFT lattice parameters and positions (PBE), the powder diffraction line list of Er2MgSi2 was computed for Cu Kα.
Neutral-atom scattering factors, no anomalous dispersion.

Structural model:
Cell: 7.1020 7.1020 4.1987 Å, 90.00 90.00 90.00°
Fractional coordinates of all 10 atoms:
Er 0.1788 0.3212 0.0000
Er 0.3212 0.8212 0.0000
Er 0.6788 0.1788 0.0000
Er 0.8212 0.6788 0.0000
Mg 0.0000 0.0000 0.5000
Mg 0.5000 0.5000 0.5000
Si 0.1188 0.6188 0.5000
Si 0.3812 0.1188 0.5000
Si 0.6188 0.8812 0.5000
Si 0.8812 0.3812 0.5000

The 6 most intense peaks (5 to 70 degrees two-theta), by angle:
| 2θ (°) | Rel. int. |
| --- | --- |
| 21.16 | 37 |
| 25.08 | 26 |
| 28.09 | 46 |
| 33.04 | 46 |
| 35.44 | 100 |
| 57.86 | 27 |

---

Record 5
Starting from DFT lattice parameters and positions (PBE), the powder diffraction line list of Hf3Be was computed for Cu Kα.
Neutral-atom scattering factors, no anomalous dispersion.

Structural model:
Cell: 4.1840 4.1840 8.7061 Å, 90.00 90.00 90.00°
Fractional coordinates of all 8 atoms:
Hf 0.0000 0.0000 0.0000
Hf 0.0000 0.5000 0.2500
Hf 0.0000 0.5000 0.7500
Hf 0.5000 0.0000 0.2500
Hf 0.5000 0.0000 0.7500
Hf 0.5000 0.5000 0.5000
Be 0.0000 0.0000 0.5000
Be 0.5000 0.5000 0.0000

The 6 most intense peaks (5 to 70 degrees two-theta), by angle:
| 2θ (°) | Rel. int. |
| --- | --- |
| 20.40 | 11 |
| 23.59 | 31 |
| 36.73 | 100 |
| 41.49 | 18 |
| 43.25 | 32 |
| 61.48 | 23 |

---

Record 6
Starting from DFT lattice parameters and positions (PBE), the powder diffraction line list of Rb3Mo was computed for Cu Kα.
Neutral-atom scattering factors, no anomalous dispersion.

Structural model:
Cell: 6.4292 6.4292 11.4362 Å, 90.00 90.00 90.00°
Fractional coordinates of all 8 atoms:
Rb 0.0000 0.0000 0.0000
Rb 0.0000 0.5000 0.2500
Rb 0.0000 0.5000 0.7500
Rb 0.5000 0.0000 0.2500
Rb 0.5000 0.0000 0.7500
Rb 0.5000 0.5000 0.5000
Mo 0.0000 0.0000 0.5000
Mo 0.5000 0.5000 0.0000

The 6 most intense peaks (5 to 70 degrees two-theta), by angle:
| 2θ (°) | Rel. int. |
| --- | --- |
| 25.02 | 100 |
| 27.75 | 38 |
| 31.29 | 14 |
| 39.65 | 14 |
| 42.31 | 24 |
| 47.46 | 34 |

---

Record 7
Starting from DFT lattice parameters and positions (PBE), the powder diffraction line list of HoP2Ru2 was computed for Cu Kα.
Neutral-atom scattering factors, no anomalous dispersion.

Structural model:
Cell: 4.0534 4.0534 9.5380 Å, 90.00 90.00 90.00°
Fractional coordinates of all 10 atoms:
Ho 0.0000 0.0000 0.0000
Ho 0.5000 0.5000 0.5000
P 0.0000 0.0000 0.3755
P 0.0000 0.0000 0.6245
P 0.5000 0.5000 0.1245
P 0.5000 0.5000 0.8755
Ru 0.0000 0.5000 0.2500
Ru 0.0000 0.5000 0.7500
Ru 0.5000 0.0000 0.2500
Ru 0.5000 0.0000 0.7500

The 6 most intense peaks (5 to 70 degrees two-theta), by angle:
| 2θ (°) | Rel. int. |
| --- | --- |
| 23.85 | 30 |
| 35.90 | 33 |
| 36.58 | 100 |
| 44.72 | 38 |
| 59.90 | 17 |
| 67.36 | 16 |